[1]
Structure and theoretical PXRD pattern of Ba4Zn4B14Pb2O31 (the GGA-PBE geometry in OQMD; Cu Kα (weighted mean of Kα1 and Kα2)).

Crystal structure
```
Ba4Zn4B14Pb2O31
1.0
6.9791 0.0000 0.0000
3.4717 6.1204 0.0000
2.2266 2.4209 15.6254
Ba Zn B Pb O
4 4 14 2 31
direct
0.0000 0.0000 0.0000
0.0226 0.5674 0.2527
0.2830 0.4140 0.8421
0.7478 0.1507 0.4003
0.0694 0.4761 0.4743
0.3524 0.2857 0.0750
0.6670 0.2848 0.1753
0.9598 0.0931 0.7808
0.1196 0.5375 0.6343
0.1316 0.9646 0.2149
0.2408 0.7674 0.4191
0.3610 0.0419 0.4300
0.3786 0.0828 0.2650
0.3929 0.9216 0.8282
0.5013 0.8751 0.0160
0.5196 0.6944 0.2353
0.6321 0.6436 0.4266
0.6436 0.4859 0.9864
0.6617 0.5271 0.8208
0.7860 0.7980 0.8319
0.8888 0.6044 0.0379
0.9544 0.9574 0.6244
0.4343 0.0161 0.6229
0.6734 0.4349 0.6188
0.0036 0.1016 0.6539
0.0793 0.5704 0.0658
0.0827 0.7289 0.3979
0.1043 0.7355 0.6488
0.1545 0.1072 0.2539
0.1867 0.0891 0.8391
0.1912 0.9677 0.4398
0.3075 0.3522 0.6654
0.3152 0.7565 0.2044
0.3291 0.1879 0.4896
0.3345 0.0851 0.0145
0.3697 0.1596 0.3444
0.4098 0.2345 0.1968
0.4391 0.7265 0.8048
0.4604 0.5972 0.4197
0.4689 0.7209 0.9878
0.5528 0.8472 0.2640
0.5664 0.9669 0.8337
0.5839 0.8422 0.4474
0.6112 0.3335 0.0543
0.6542 0.4093 0.9068
0.6858 0.4837 0.2370
0.6936 0.3792 0.7624
0.7057 0.8140 0.0468
0.7675 0.0489 0.5797
0.8336 0.5990 0.8104
0.8389 0.4737 0.4181
0.8668 0.4611 0.9990
0.9392 0.9986 0.1889
0.9467 0.8355 0.8511
0.9618 0.5435 0.5904
```

The 10 most intense peaks (10° ≤ 2θ ≤ 90°), sorted by position:
| d_spacing | Position (°2θ) | I_rel |
| --- | --- | --- |
| 5.952 | 14.88 | 37 |
| 5.746 | 15.42 | 44 |
| 3.453 | 25.80 | 77 |
| 3.417 | 26.08 | 45 |
| 3.280 | 27.19 | 79 |
| 3.215 | 27.75 | 40 |
| 3.125 | 28.56 | 100 |
| 2.833 | 31.58 | 43 |
| 2.286 | 39.42 | 38 |
| 2.014 | 45.01 | 39 |

=====

[2]
Structure and theoretical PXRD pattern of Cs2Hg2Te3 (the GGA-PBE geometry in OQMD; Cu Kα (weighted mean of Kα1 and Kα2)).

Crystal structure
```
Cs2Hg2Te3
1.0
-5.5393 5.5393 5.5393
5.5393 -5.5393 5.5393
5.5393 5.5393 -5.5393
Cs Hg Te
4 4 6
direct
0.0000 0.2817 0.5000
0.2183 0.2183 0.2183
0.2817 0.5000 0.0000
0.5000 0.0000 0.2817
0.0000 0.6618 0.5000
0.5000 0.0000 0.6618
0.6618 0.5000 0.0000
0.8382 0.8382 0.8382
0.0896 0.7500 0.8396
0.2500 0.6604 0.4104
0.4104 0.2500 0.6604
0.6604 0.4104 0.2500
0.7500 0.8396 0.0896
0.8396 0.0896 0.7500
```

The 10 most intense peaks (10° ≤ 2θ ≤ 90°), sorted by position:
| d_spacing | Position (°2θ) | I_rel |
| --- | --- | --- |
| 5.539 | 16.00 | 28 |
| 4.523 | 19.63 | 56 |
| 2.961 | 30.18 | 100 |
| 2.173 | 41.57 | 40 |
| 2.023 | 44.81 | 20 |
| 1.846 | 49.36 | 12 |
| 1.797 | 50.80 | 10 |
| 1.752 | 52.22 | 9 |
| 1.567 | 58.95 | 9 |
| 1.288 | 73.54 | 16 |

=====

[3]
Structure and theoretical PXRD pattern of NdSmHf2Sb2 (the GGA-PBE geometry in OQMD; Cu Kα (weighted mean of Kα1 and Kα2)).

Crystal structure
```
NdSmHf2Sb2
1.0
4.3253 0.0000 0.0000
0.0000 4.3253 0.0000
0.0000 0.0000 16.8633
Nd Sm Hf Sb
2 2 4 4
direct
0.0000 0.0000 0.0000
0.5000 0.5000 0.5000
0.0000 0.0000 0.3531
0.5000 0.5000 0.8531
0.0000 0.5000 0.1776
0.0000 0.5000 0.6776
0.5000 0.0000 0.1776
0.5000 0.0000 0.6776
0.0000 0.0000 0.5501
0.0000 0.0000 0.8048
0.5000 0.5000 0.0501
0.5000 0.5000 0.3048
```

The 10 most intense peaks (10° ≤ 2θ ≤ 90°), sorted by position:
| d_spacing | Position (°2θ) | I_rel |
| --- | --- | --- |
| 8.432 | 10.49 | 28 |
| 2.875 | 31.11 | 96 |
| 2.811 | 31.84 | 33 |
| 2.660 | 33.70 | 38 |
| 2.476 | 36.29 | 100 |
| 2.163 | 41.77 | 59 |
| 1.714 | 53.46 | 31 |
| 1.529 | 60.55 | 20 |
| 1.350 | 69.64 | 19 |
| 1.301 | 72.68 | 26 |

=====

[4]
Structure and theoretical PXRD pattern of Dy2H5 (the GGA-PBE geometry in OQMD; Cu Kα (weighted mean of Kα1 and Kα2)).

Crystal structure
```
Dy2H5
1.0
-2.5510 2.5510 5.1714
2.5510 -2.5510 5.1714
2.5510 2.5510 -5.1714
Dy H
4 10
direct
0.1226 0.3726 0.7500
0.3726 0.1226 0.2500
0.6274 0.8774 0.7500
0.8774 0.6274 0.2500
0.0000 0.2671 0.2671
0.0000 0.7329 0.7329
0.1250 0.8750 0.2500
0.2671 0.0000 0.7671
0.2671 0.5000 0.2671
0.5000 0.2671 0.7671
0.5000 0.7329 0.2329
0.7329 0.0000 0.2329
0.7329 0.5000 0.7329
0.8750 0.1250 0.7500
```

The 10 most intense peaks (10° ≤ 2θ ≤ 90°), sorted by position:
| d_spacing | Position (°2θ) | I_rel |
| --- | --- | --- |
| 2.959 | 30.21 | 100 |
| 2.586 | 34.69 | 17 |
| 2.551 | 35.18 | 33 |
| 1.816 | 50.24 | 25 |
| 1.804 | 50.60 | 12 |
| 1.555 | 59.43 | 15 |
| 1.540 | 60.07 | 29 |
| 1.479 | 62.81 | 12 |
| 1.178 | 81.76 | 12 |
| 1.171 | 82.32 | 6 |

=====

[5]
Structure and theoretical PXRD pattern of KAl6Ga3Co2 (the GGA-PBE geometry in OQMD; Cu Kα (weighted mean of Kα1 and Kα2)).

Crystal structure
```
KAl6Ga3Co2
1.0
8.0166 0.0000 0.0000
-4.0083 6.9426 0.0000
0.0000 0.0000 3.8347
K Al Ga Co
1 6 3 2
direct
0.0000 0.0000 0.0000
0.2134 0.4268 0.5000
0.2134 0.7866 0.5000
0.4268 0.2134 0.5000
0.5732 0.7866 0.5000
0.7866 0.2134 0.5000
0.7866 0.5732 0.5000
0.0000 0.5000 0.0000
0.5000 0.0000 0.0000
0.5000 0.5000 0.0000
0.3333 0.6667 0.0000
0.6667 0.3333 0.0000
```

The 10 most intense peaks (10° ≤ 2θ ≤ 90°), sorted by position:
| d_spacing | Position (°2θ) | I_rel |
| --- | --- | --- |
| 6.943 | 12.75 | 100 |
| 3.835 | 23.20 | 29 |
| 3.471 | 25.66 | 25 |
| 2.771 | 32.31 | 17 |
| 2.573 | 34.86 | 85 |
| 2.166 | 41.71 | 54 |
| 2.004 | 45.25 | 51 |
| 1.917 | 47.42 | 25 |
| 1.776 | 51.45 | 48 |
| 1.385 | 67.62 | 28 |

=====

[6]
Structure and theoretical PXRD pattern of CsNb4N5F (the GGA-PBE geometry in OQMD; Cu Kα (weighted mean of Kα1 and Kα2)).

Crystal structure
```
CsNb4N5F
1.0
4.1553 0.0000 0.0000
0.0000 4.1553 0.0000
0.0000 0.0000 9.1372
Cs Nb N F
1 4 5 1
direct
0.0000 0.0000 0.0000
0.0000 0.5000 0.5000
0.5000 0.0000 0.5000
0.5000 0.5000 0.2453
0.5000 0.5000 0.7547
0.0000 0.0000 0.5000
0.0000 0.5000 0.2675
0.0000 0.5000 0.7325
0.5000 0.0000 0.2675
0.5000 0.0000 0.7325
0.5000 0.5000 0.0000
```

The 10 most intense peaks (10° ≤ 2θ ≤ 90°), sorted by position:
| d_spacing | Position (°2θ) | I_rel |
| --- | --- | --- |
| 3.074 | 29.05 | 100 |
| 2.797 | 32.00 | 90 |
| 2.284 | 39.45 | 38 |
| 2.115 | 42.76 | 30 |
| 2.078 | 43.56 | 57 |
| 1.721 | 53.21 | 35 |
| 1.552 | 59.58 | 18 |
| 1.537 | 60.21 | 41 |
| 1.469 | 63.30 | 18 |
| 1.236 | 77.20 | 19 |

=====

[7]
Structure and theoretical PXRD pattern of Ni13Te2 (the GGA-PBE geometry in OQMD; Cu Kα (weighted mean of Kα1 and Kα2)).

Crystal structure
```
Ni13Te2
1.0
4.0547 -1.3886 0.0000
4.0547 1.3886 0.0000
-1.6309 0.0000 27.8430
Ni Te
13 2
direct
0.0000 0.0000 0.0000
0.0954 0.0954 0.8602
0.1798 0.1798 0.1056
0.2733 0.2733 0.9649
0.3612 0.3612 0.2132
0.3683 0.3683 0.8242
0.4540 0.4540 0.0702
0.5460 0.5460 0.9298
0.6317 0.6317 0.1758
0.6388 0.6388 0.7868
0.7267 0.7267 0.0351
0.8202 0.8202 0.8944
0.9046 0.9046 0.1398
0.0936 0.0936 0.2574
0.9064 0.9064 0.7426
```

The 10 most intense peaks (10° ≤ 2θ ≤ 90°), sorted by position:
| d_spacing | Position (°2θ) | I_rel |
| --- | --- | --- |
| 6.961 | 12.72 | 33 |
| 2.359 | 38.15 | 30 |
| 2.173 | 41.56 | 96 |
| 2.078 | 43.56 | 100 |
| 2.066 | 43.82 | 38 |
| 1.986 | 45.67 | 39 |
| 1.954 | 46.48 | 40 |
| 1.941 | 46.82 | 41 |
| 1.852 | 49.19 | 92 |
| 1.651 | 55.67 | 25 |

=====

[8]
Structure and theoretical PXRD pattern of GdDy2Mg3Tl2Cd (the GGA-PBE geometry in OQMD; Cu Kα (weighted mean of Kα1 and Kα2)).

Crystal structure
```
GdDy2Mg3Tl2Cd
1.0
4.6302 0.0000 0.0000
0.0000 6.5558 3.7797
0.0000 -6.5558 3.7797
Gd Dy Mg Tl Cd
1 2 3 2 1
direct
0.0000 0.0000 0.0000
0.0000 0.1516 0.5757
0.0000 0.5757 0.1516
0.5000 0.3361 0.3361
0.5000 0.5757 0.8154
0.5000 0.8154 0.5757
0.5000 0.2426 0.9089
0.5000 0.9089 0.2426
0.0000 0.5755 0.5755
```

The 10 most intense peaks (10° ≤ 2θ ≤ 90°), sorted by position:
| d_spacing | Position (°2θ) | I_rel |
| --- | --- | --- |
| 6.551 | 13.52 | 28 |
| 3.782 | 23.52 | 51 |
| 2.929 | 30.52 | 84 |
| 2.674 | 33.51 | 100 |
| 2.315 | 38.90 | 27 |
| 2.184 | 41.35 | 53 |
| 1.891 | 48.12 | 20 |
| 1.691 | 54.24 | 29 |
| 1.589 | 58.06 | 19 |
| 1.429 | 65.28 | 50 |